[1]
Starting from a GGA+U-relaxed structure, the powder diffraction line list of Li9Mn7O16 was calculated for Cu Kα, 1.54184 Å.
Peak positions follow from Bragg's law for the DFT cell and can differ from measured ones.

Main lines, in order of rising 2θ (5° ≤ 2θ ≤ 70°):
2θ (°), intensity, h k l
18.27, 1000, 1 0 1
33.88, 181, 0 2 2
36.22, 232, 0 2 -2
40.79, 353, 1 2 3
44.17, 547, 2 0 -2
58.20, 93, 2 -2 4
61.29, 87, 0 4 0
61.52, 83, -1 2 5
61.84, 82, 3 2 1
62.07, 81, 2 0 6
63.60, 72, 3 -2 1
64.88, 73, 1 2 -5

abc: 5.1022 6.0681 9.8568
angles: 85.67 78.10 88.18
Space group P-1 (No. 2)
Asymmetric unit:
1 Li 0.0000 0.0000 0.0000
2 Li 0.0039 0.7515 0.5011
3 Li 0.2444 0.4991 0.2481
4 Li 0.2531 0.0021 0.2480
5 Li 0.4916 0.7609 0.9991
6 Mn 0.0000 0.5000 0.0000
7 Mn 0.2492 0.7581 0.7555
8 Mn 0.2496 0.2512 0.7551
9 Mn 0.5000 0.0000 0.5000
10 Mn 0.5000 0.5000 0.5000
11 O 0.0930 0.7217 0.1176
12 O 0.1009 0.2642 0.1261
13 O 0.1405 0.9868 0.6246
14 O 0.1502 0.4976 0.6282
15 O 0.3529 0.5187 0.8803
16 O 0.3672 0.0038 0.8632
17 O 0.3939 0.7334 0.3730
18 O 0.3978 0.2352 0.3735


[2]
Starting from a GGA+U-relaxed structure, the powder diffraction line list of Zn3Fe4Sb6O24 was calculated for Cu Kα, 1.54184 Å.
Peak positions follow from Bragg's law for the DFT cell and can differ from measured ones.

Main lines, in order of rising 2θ (5° ≤ 2θ ≤ 70°):
2θ (°), intensity, h k l
19.30, 242, 1 0 -2
23.21, 488, 1 -2 0
26.25, 556, 2 0 -1
26.84, 346, 2 -1 0
27.05, 1000, 0 1 -3
27.86, 960, 0 2 1
28.02, 250, 1 2 -1
28.18, 383, 1 -2 2
32.52, 208, 2 0 1
34.01, 242, 0 3 -2
36.01, 234, 1 0 -4
53.05, 288, -4 1 1

abc: 6.9458 8.3035 10.3024
angles: 104.55 105.45 102.23
Space group P-1 (No. 2)
Asymmetric unit:
1 Zn 0.0000 0.0000 0.0000
2 Zn 0.2840 0.7875 0.2913
3 Fe 0.0425 0.7095 0.5132
4 Fe 0.3784 0.4558 0.1101
5 Sb 0.1070 0.6067 0.8340
6 Sb 0.2186 0.1531 0.7728
7 Sb 0.3991 0.2255 0.3755
8 O 0.0057 0.2331 0.6704
9 O 0.0684 0.5531 0.6351
10 O 0.1352 0.5321 0.1462
11 O 0.1471 0.8446 0.9213
12 O 0.2001 0.9244 0.6721
13 O 0.2133 0.2053 0.9655
14 O 0.2336 0.2881 0.4861
15 O 0.2498 0.9982 0.2411
16 O 0.3385 0.5314 0.9233
17 O 0.3396 0.7424 0.4824
18 O 0.4473 0.3727 0.2668
19 O 0.4882 0.2801 0.7796


[3]
Starting from a GGA+U-relaxed structure, the powder diffraction line list of AlNiF5 was calculated for Cu Kα, 1.54184 Å.
Peak positions follow from Bragg's law for the DFT cell and can differ from measured ones.

Main lines, in order of rising 2θ (5° ≤ 2θ ≤ 70°):
2θ (°), intensity, h k l
18.60, 192, 0 1 1
23.91, 1000, 0 0 2
28.72, 696, 0 2 0
29.11, 948, 1 1 0
40.53, 563, 1 2 1
48.95, 349, 0 0 4
51.12, 350, 1 3 0
51.84, 289, 2 0 0
53.96, 253, 1 2 3
57.75, 163, 0 2 4
57.86, 148, 2 0 2
57.97, 237, 1 1 4

abc: 3.5273 6.2177 7.4427
angles: 90.00 90.00 90.00
Space group Immm (No. 71)
Asymmetric unit:
1 Al 0.0000 0.0000 0.0000
2 Ni 0.0000 0.0000 0.5000
3 F 0.0000 0.0000 0.2409
4 F 0.0000 0.2977 0.0000
5 F 0.0000 0.5000 0.5000


[4]
Starting from a GGA+U-relaxed structure, the powder diffraction line list of MgV8O8F8 was calculated for Cu Kα, 1.54184 Å.
Peak positions follow from Bragg's law for the DFT cell and can differ from measured ones.

Main lines, in order of rising 2θ (5° ≤ 2θ ≤ 70°):
2θ (°), intensity, h k l
25.82, 950, -1 1 1
26.64, 1000, 1 1 1
33.32, 311, 1 1 -3
33.45, 253, 0 0 4
33.89, 289, 1 -1 3
34.21, 308, 0 2 -2
38.92, 209, 1 0 4
39.07, 284, 1 2 -2
51.63, 338, 1 1 5
52.31, 235, 1 3 -1
54.89, 238, 2 2 2
57.79, 248, 0 2 -6

abc: 4.8588 5.6650 10.7974
angles: 96.76 91.75 90.91
Space group P1 (No. 1)
Asymmetric unit:
1 Mg 0.0000 0.0000 0.0000
2 V 0.0237 0.8720 0.6108
3 V 0.0599 0.5795 0.8383
4 V 0.4599 0.6235 0.3685
5 V 0.4815 0.8716 0.1242
6 V 0.5177 0.1267 0.8760
7 V 0.5375 0.3727 0.6316
8 V 0.9369 0.4197 0.1625
9 V 0.9744 0.1243 0.3893
10 O 0.1949 0.8614 0.4452
11 O 0.2102 0.5924 0.6787
12 O 0.2881 0.5924 0.2051
13 O 0.3077 0.8197 0.9413
14 O 0.6917 0.1791 0.0589
15 O 0.7094 0.4060 0.7949
16 O 0.7866 0.4036 0.3218
17 O 0.8027 0.1343 0.5548
18 F 0.1452 0.0957 0.1966
19 F 0.1695 0.3112 0.9472
20 F 0.3001 0.3448 0.4541
21 F 0.3176 0.0942 0.6960
22 F 0.6826 0.9006 0.3039
23 F 0.6967 0.6513 0.5458
24 F 0.8305 0.6873 0.0520
25 F 0.8544 0.9045 0.8039


[5]
Starting from a GGA+U-relaxed structure, the powder diffraction line list of Ba2CoP2O8 was calculated for Cu Kα, 1.54184 Å.
Peak positions follow from Bragg's law for the DFT cell and can differ from measured ones.

Main lines, in order of rising 2θ (5° ≤ 2θ ≤ 70°):
2θ (°), intensity, h k l
25.09, 647, 1 1 2
25.47, 859, 1 1 -4
25.66, 642, 0 2 3
26.29, 401, 1 2 0
27.92, 914, 1 2 1
28.14, 1000, 1 2 -3
29.10, 330, 0 1 5
29.53, 554, 0 2 4
31.81, 596, 1 0 4
33.28, 720, 2 0 -2
34.63, 423, 1 3 -2
45.61, 461, 0 1 8

abc: 5.3856 9.0197 17.0980
angles: 90.00 107.37 90.00
Space group P2_1/c (No. 14)
Asymmetric unit:
1 Ba 0.0212 0.1560 0.2694
2 Ba 0.1895 0.7022 0.9814
3 Co 0.4044 0.0171 0.1355
4 P 0.1854 0.0933 0.9234
5 P 0.4179 0.1096 0.6661
6 O 0.1044 0.6327 0.6252
7 O 0.2169 0.0988 0.0155
8 O 0.2415 0.0309 0.5883
9 O 0.2498 0.5615 0.3929
10 O 0.2932 0.6121 0.8343
11 O 0.3138 0.2290 0.1703
12 O 0.3665 0.2076 0.8996
13 O 0.3937 0.0248 0.7433